Structure and computed powder diffraction line list of TmMn6Ge6 (a DFT-relaxed cell (PBE, Alexandria); Cu Kα (λ = 1.5418 Å)).
Kinematic intensities with the Lorentz-polarization factor, no thermal factor.

Structure:
```
data_TmMn6Ge6
_cell_length_a 5.1595
_cell_length_b 8.1192
_cell_length_c 8.9264
_cell_angle_alpha 90.00
_cell_angle_beta 90.00
_cell_angle_gamma 90.00
_space_group_name_H-M_alt 'I m m m'
_space_group_IT_number 71
_space_group_name_Hall '-I 2 2'
loop_
_atom_site_label
_atom_site_type_symbol
_atom_site_fract_x
_atom_site_fract_y
_atom_site_fract_z
Tm1 Tm 0.0000 0.0000 0.0000
Mn1 Mn 0.0000 0.2482 0.5000
Mn2 Mn 0.2500 0.2500 0.2500
Ge1 Ge 0.0000 0.0000 0.3353
Ge2 Ge 0.0000 0.3441 0.0000
Ge3 Ge 0.0000 0.5000 0.3328
```

Largest 10 diffraction maxima, low angle first, 10 to 90 degrees two-theta:
2.590 Å, rel. 20, (0 3 1)
2.578 Å, rel. 77, (2 0 0)
2.233 Å, rel. 50, (2 0 2)
2.176 Å, rel. 100, (2 2 0)
2.112 Å, rel. 22, (1 3 2)
2.030 Å, rel. 24, (0 4 0)
1.956 Å, rel. 36, (0 2 4)
1.398 Å, rel. 23, (3 2 3)
1.289 Å, rel. 19, (2 0 6)
1.198 Å, rel. 26, (2 6 0)

Structure and computed powder diffraction line list of TmMn6Ge6 (a DFT-relaxed cell (PBE, Alexandria); Cu Kα (λ = 1.5418 Å)).
Kinematic intensities with the Lorentz-polarization factor, no thermal factor.

Structure:
```
data_TmMn6Ge6
_cell_length_a 5.1537
_cell_length_b 5.1537
_cell_length_c 8.1439
_cell_angle_alpha 90.00
_cell_angle_beta 90.00
_cell_angle_gamma 120.00
_space_group_name_H-M_alt 'P 6/m m m'
_space_group_IT_number 191
_space_group_name_Hall '-P 6 2'
loop_
_atom_site_label
_atom_site_type_symbol
_atom_site_fract_x
_atom_site_fract_y
_atom_site_fract_z
Tm1 Tm 0.0000 0.0000 0.0000
Mn1 Mn 0.0000 0.5000 0.2503
Ge1 Ge 0.0000 0.0000 0.3434
Ge2 Ge 0.3333 0.6667 0.0000
Ge3 Ge 0.3333 0.6667 0.5000
```

Largest 10 diffraction maxima, low angle first, 10 to 90 degrees two-theta:
2.577 Å, rel. 77, (1 1 0)
2.319 Å, rel. 44, (1 0 3)
2.232 Å, rel. 50, (2 0 0)
2.177 Å, rel. 100, (1 1 2)
2.036 Å, rel. 24, (0 0 4)
1.957 Å, rel. 36, (2 0 2)
1.869 Å, rel. 23, (1 1 3)
1.397 Å, rel. 23, (3 0 2)
1.288 Å, rel. 29, (2 2 0)
1.201 Å, rel. 30, (1 1 6)

Structure and computed powder diffraction line list of MnV12Ge3 (a DFT-relaxed cell (PBE, Alexandria); Cu Kα (λ = 1.5418 Å)).
Kinematic intensities with the Lorentz-polarization factor, no thermal factor.

Structure:
```
data_MnV12Ge3
_cell_length_a 4.7338
_cell_length_b 4.7356
_cell_length_c 9.4620
_cell_angle_alpha 90.00
_cell_angle_beta 90.00
_cell_angle_gamma 90.00
_space_group_name_H-M_alt 'P m m m'
_space_group_IT_number 47
_space_group_name_Hall '-P 2 2'
loop_
_atom_site_label
_atom_site_type_symbol
_atom_site_fract_x
_atom_site_fract_y
_atom_site_fract_z
Mn1 Mn 0.0000 0.0000 0.0000
V1 V 0.0000 0.5000 0.1172
V2 V 0.0000 0.5000 0.3709
V3 V 0.2441 0.0000 0.2429
V4 V 0.5000 0.2438 0.0000
V5 V 0.5000 0.2536 0.5000
Ge1 Ge 0.0000 0.0000 0.5000
Ge2 Ge 0.5000 0.5000 0.2503
```

Largest 10 diffraction maxima, low angle first, 10 to 90 degrees two-theta:
3.347 Å, rel. 7, (1 1 0)
2.367 Å, rel. 48, (2 0 0)
2.117 Å, rel. 91, (2 1 0)
1.932 Å, rel. 100, (1 1 4)
1.674 Å, rel. 1, (2 0 4)
1.497 Å, rel. 2, (3 0 2)
1.366 Å, rel. 3, (2 2 4)
1.313 Å, rel. 16, (3 0 4)
1.265 Å, rel. 46, (3 2 2)
1.183 Å, rel. 14, (4 0 0)

Structure and computed powder diffraction line list of Mn5V6Ge (a DFT-relaxed cell (PBE, Alexandria); Cu Kα (λ = 1.5418 Å)).
Kinematic intensities with the Lorentz-polarization factor, no thermal factor.

Structure:
```
data_Mn5V6Ge
_cell_length_a 4.0737
_cell_length_b 5.8526
_cell_length_c 12.2474
_cell_angle_alpha 90.00
_cell_angle_beta 90.00
_cell_angle_gamma 90.00
_space_group_name_H-M_alt 'I m m m'
_space_group_IT_number 71
_space_group_name_Hall '-I 2 2'
loop_
_atom_site_label
_atom_site_type_symbol
_atom_site_fract_x
_atom_site_fract_y
_atom_site_fract_z
Mn1 Mn 0.0000 0.0000 0.0000
Mn2 Mn 0.0000 0.0000 0.3357
Mn3 Mn 0.0000 0.5000 0.3317
V1 V 0.0000 0.2437 0.1706
V2 V 0.0000 0.2654 0.5000
Ge1 Ge 0.0000 0.5000 0.0000
```

Largest 10 diffraction maxima, low angle first, 10 to 90 degrees two-theta:
2.930 Å, rel. 1, (0 2 0)
2.884 Å, rel. 1, (1 0 3)
2.054 Å, rel. 100, (1 2 3)
2.041 Å, rel. 25, (0 0 6)
2.037 Å, rel. 25, (2 0 0)
1.463 Å, rel. 7, (0 4 0)
1.442 Å, rel. 14, (2 0 6)
1.189 Å, rel. 14, (2 4 0)
1.181 Å, rel. 14, (1 2 9)
1.179 Å, rel. 14, (3 2 3)

Structure and computed powder diffraction line list of Mn4ZnGe2 (a DFT-relaxed cell (PBE, Alexandria); Cu Kα (λ = 1.5418 Å)).
Kinematic intensities with the Lorentz-polarization factor, no thermal factor.

Structure:
```
data_Mn4ZnGe2
_cell_length_a 2.8484
_cell_length_b 3.8385
_cell_length_c 17.4357
_cell_angle_alpha 90.00
_cell_angle_beta 90.00
_cell_angle_gamma 90.00
_space_group_name_H-M_alt 'I m m m'
_space_group_IT_number 71
_space_group_name_Hall '-I 2 2'
loop_
_atom_site_label
_atom_site_type_symbol
_atom_site_fract_x
_atom_site_fract_y
_atom_site_fract_z
Mn1 Mn 0.0000 0.0000 0.1423
Mn2 Mn 0.0000 0.5000 0.2460
Zn1 Zn 0.0000 0.0000 0.0000
Ge1 Ge 0.0000 0.0000 0.3776
```

Largest 10 diffraction maxima, low angle first, 10 to 90 degrees two-theta:
8.718 Å, rel. 50, (0 0 2)
2.581 Å, rel. 26, (0 1 5)
2.287 Å, rel. 43, (1 1 0)
2.213 Å, rel. 42, (1 1 2)
2.206 Å, rel. 24, (1 0 5)
2.179 Å, rel. 60, (0 0 8)
2.025 Å, rel. 100, (1 1 4)
1.919 Å, rel. 49, (0 2 0)
1.797 Å, rel. 43, (1 1 6)
1.440 Å, rel. 30, (0 2 8)

Structure and computed powder diffraction line list of GeMo (a DFT-relaxed cell (PBE, Alexandria); Cu Kα (λ = 1.5418 Å)).
Kinematic intensities with the Lorentz-polarization factor, no thermal factor.

Structure:
```
data_GeMo
_cell_length_a 5.0015
_cell_length_b 5.0015
_cell_length_c 5.0015
_cell_angle_alpha 90.00
_cell_angle_beta 90.00
_cell_angle_gamma 90.00
_space_group_name_H-M_alt 'P 21 3'
_space_group_IT_number 198
_space_group_name_Hall 'P 2ac 2ab 3'
loop_
_atom_site_label
_atom_site_type_symbol
_atom_site_fract_x
_atom_site_fract_y
_atom_site_fract_z
Ge1 Ge 0.0971 0.4029 0.5971
Mo1 Mo 0.1133 0.8867 0.3867
```

Largest 10 diffraction maxima, low angle first, 10 to 90 degrees two-theta:
2.888 Å, rel. 13, (1 1 1)
2.501 Å, rel. 6, (2 0 0)
2.237 Å, rel. 100, (2 0 1)
2.042 Å, rel. 56, (2 1 1)
1.508 Å, rel. 12, (3 1 1)
1.387 Å, rel. 6, (3 2 0)
1.337 Å, rel. 33, (3 2 1)
1.250 Å, rel. 10, (4 0 0)
1.147 Å, rel. 10, (3 3 1)
1.091 Å, rel. 16, (4 1 2)

Structure and computed powder diffraction line list of Zn2GeMoN4 (a DFT-relaxed cell (PBE, Alexandria); Cu Kα (λ = 1.5418 Å)).
Kinematic intensities with the Lorentz-polarization factor, no thermal factor.

Structure:
```
data_Zn2GeMoN4
_cell_length_a 4.6592
_cell_length_b 4.6592
_cell_length_c 9.1704
_cell_angle_alpha 90.00
_cell_angle_beta 90.00
_cell_angle_gamma 90.00
_space_group_name_H-M_alt 'I -4 2 m'
_space_group_IT_number 121
_space_group_name_Hall 'I -4 2'
loop_
_atom_site_label
_atom_site_type_symbol
_atom_site_fract_x
_atom_site_fract_y
_atom_site_fract_z
Zn1 Zn 0.0000 0.5000 0.2500
Ge1 Ge 0.0000 0.0000 0.0000
Mo1 Mo 0.0000 0.0000 0.5000
N1 N 0.2446 0.2446 0.8850
```

Largest 10 diffraction maxima, low angle first, 10 to 90 degrees two-theta:
2.676 Å, rel. 100, (1 1 2)
2.330 Å, rel. 23, (2 0 0)
2.293 Å, rel. 11, (0 0 4)
1.647 Å, rel. 14, (2 2 0)
1.634 Å, rel. 27, (2 0 4)
1.403 Å, rel. 25, (3 1 2)
1.386 Å, rel. 12, (1 1 6)
1.338 Å, rel. 8, (2 2 4)
1.165 Å, rel. 4, (4 0 0)
1.146 Å, rel. 2, (0 0 8)

Structure and computed powder diffraction line list of Nb4Ge3Mo (a DFT-relaxed cell (PBE, Alexandria); Cu Kα (λ = 1.5418 Å)).
Kinematic intensities with the Lorentz-polarization factor, no thermal factor.

Structure:
```
data_Nb4Ge3Mo
_cell_length_a 10.1620
_cell_length_b 10.1620
_cell_length_c 5.1417
_cell_angle_alpha 90.00
_cell_angle_beta 90.00
_cell_angle_gamma 90.00
_space_group_name_H-M_alt 'I 4/m c m'
_space_group_IT_number 140
_space_group_name_Hall '-I 4 2c'
loop_
_atom_site_label
_atom_site_type_symbol
_atom_site_fract_x
_atom_site_fract_y
_atom_site_fract_z
Nb1 Nb 0.0768 0.2247 0.0000
Ge1 Ge 0.0000 0.0000 0.2500
Ge2 Ge 0.1640 0.3360 0.5000
Mo1 Mo 0.0000 0.5000 0.2500
```

Largest 10 diffraction maxima, low angle first, 10 to 90 degrees two-theta:
2.571 Å, rel. 22, (0 0 2)
2.471 Å, rel. 51, (3 2 1)
2.294 Å, rel. 49, (2 0 2)
2.272 Å, rel. 63, (4 2 0)
2.223 Å, rel. 100, (4 1 1)
2.091 Å, rel. 44, (2 2 2)
1.771 Å, rel. 16, (5 2 1)
1.407 Å, rel. 22, (4 1 3)
1.236 Å, rel. 17, (6 4 2)
1.119 Å, rel. 13, (4 2 4)

Structure and computed powder diffraction line list of Nb3SnGeMo3 (a DFT-relaxed cell (PBE, Alexandria); Cu Kα (λ = 1.5418 Å)).
Kinematic intensities with the Lorentz-polarization factor, no thermal factor.

Structure:
```
data_Nb3SnGeMo3
_cell_length_a 7.2753
_cell_length_b 7.2753
_cell_length_c 8.9229
_cell_angle_alpha 90.00
_cell_angle_beta 90.00
_cell_angle_gamma 120.00
_space_group_name_H-M_alt 'R 3'
_space_group_IT_number 146
_space_group_name_Hall 'R 3'
loop_
_atom_site_label
_atom_site_type_symbol
_atom_site_fract_x
_atom_site_fract_y
_atom_site_fract_z
Nb1 Nb 0.0843 0.6706 0.0000
Sn1 Sn 0.0000 0.0000 0.5860
Ge1 Ge 0.0000 0.0000 0.0849
Mo1 Mo 0.0017 0.2502 0.8360
```

Largest 10 diffraction maxima, low angle first, 10 to 90 degrees two-theta:
2.573 Å, rel. 35, (2 0 2)
2.302 Å, rel. 100, (1 1 3)
2.101 Å, rel. 77, (3 0 0)
1.486 Å, rel. 8, (0 0 6)
1.427 Å, rel. 21, (3 2 1)
1.376 Å, rel. 39, (1 3 4)
1.287 Å, rel. 15, (4 0 4)
1.151 Å, rel. 11, (6 -2 2)
1.123 Å, rel. 15, (2 1 7)
1.097 Å, rel. 7, (1 5 2)

Structure and computed powder diffraction line list of Ni2GeMo (a DFT-relaxed cell (PBE, Alexandria); Cu Kα (λ = 1.5418 Å)).
Kinematic intensities with the Lorentz-polarization factor, no thermal factor.

Structure:
```
data_Ni2GeMo
_cell_length_a 2.7109
_cell_length_b 3.9373
_cell_length_c 5.0797
_cell_angle_alpha 90.00
_cell_angle_beta 103.35
_cell_angle_gamma 90.00
_space_group_name_H-M_alt 'P 1 2/m 1'
_space_group_IT_number 10
_space_group_name_Hall '-P 2y'
loop_
_atom_site_label
_atom_site_type_symbol
_atom_site_fract_x
_atom_site_fract_y
_atom_site_fract_z
Ni1 Ni 0.1353 0.0000 0.2498
Ge1 Ge 0.0000 0.5000 0.5000
Mo1 Mo 0.5000 0.5000 0.0000
```

Largest 10 diffraction maxima, low angle first, 10 to 90 degrees two-theta:
2.191 Å, rel. 15, (1 1 0)
2.163 Å, rel. 88, (1 1 -1)
2.131 Å, rel. 42, (1 0 1)
2.093 Å, rel. 100, (0 1 2)
1.969 Å, rel. 41, (0 2 0)
1.570 Å, rel. 15, (1 0 -3)
1.446 Å, rel. 23, (1 2 1)
1.227 Å, rel. 13, (1 2 -3)
1.210 Å, rel. 13, (1 1 3)
1.159 Å, rel. 14, (0 3 2)